(1)
Starting from DFT lattice parameters and positions (GGA-PBE), the powder XRD pattern of S3N2 was simulated for Cu Kα (weighted mean of Kα1 and Kα2).
Kinematic intensities with the Lorentz-polarization factor, no thermal factor.

Top 12 peaks for 10° ≤ 2θ ≤ 80°, in order of falling intensity:
d_spacing, 2theta, I/Imax, (hkl)
5.648, 15.69, 100, 0 1 0
2.694, 33.26, 85, 2 1 1
3.837, 23.18, 39, 1 0 1
2.077, 43.58, 23, 2 2 1
4.413, 20.12, 20, 2 0 0
4.757, 18.65, 19, 1 1 0
3.174, 28.12, 15, 1 1 1
3.401, 26.20, 14, 0 1 1
2.609, 34.37, 9, 3 1 0
1.282, 73.90, 8, 2 4 1
1.411, 66.23, 8, 0 3 2
1.532, 60.40, 8, 4 0 2

a = 8.8252 Å, b = 5.6481 Å, c = 4.2604 Å
α = 90.00°, β = 90.00°, γ = 90.00°
Space group Pmn2_1 (No. 31)
Asymmetric unit:
S: 0.0000 0.1781 0.0000 x2
S: 0.2331 0.8159 0.9371 x4
N: 0.1554 0.0320 0.1455 x4

=====

(2)
Starting from DFT lattice parameters and positions (GGA-PBE), the powder XRD pattern of SbS4N3 was simulated for Cu Kα (weighted mean of Kα1 and Kα2).
Kinematic intensities with the Lorentz-polarization factor, no thermal factor.

Top 12 peaks for 10° ≤ 2θ ≤ 80°, in order of falling intensity:
d_spacing, 2theta, I/Imax, (hkl)
6.023, 14.71, 100, 0 0 1
5.829, 15.20, 98, 0 1 0
5.014, 17.69, 88, 1 0 0
3.313, 26.91, 63, 1 0 1
3.086, 28.93, 58, 1 -2 0
4.238, 20.96, 52, -1 1 1
4.791, 18.52, 49, 1 0 -1
4.824, 18.39, 36, 1 -1 0
3.011, 29.67, 34, 0 0 2
2.915, 30.67, 33, 0 2 0
2.669, 33.57, 32, 1 1 -2
2.430, 37.00, 30, -2 2 1

a = 5.7467 Å, b = 6.3134 Å, c = 6.4542 Å
α = 91.24°, β = 109.13°, γ = 110.80°
Space group P1 (No. 1)
Asymmetric unit:
Sb: 0.0000 0.0000 0.0000 x1
S: 0.2511 0.4566 0.8740 x1
S: 0.4464 0.1039 0.4727 x1
S: 0.8729 0.3639 0.0827 x1
S: 0.8939 0.8695 0.3485 x1
N: 0.0781 0.5404 0.9841 x1
N: 0.1961 0.9835 0.5419 x1
N: 0.3874 0.1154 0.2215 x1

=====

(3)
Starting from DFT lattice parameters and positions (GGA-PBE), the powder XRD pattern of SbSN2 was simulated for Cu Kα (weighted mean of Kα1 and Kα2).
Kinematic intensities with the Lorentz-polarization factor, no thermal factor.

Top 12 peaks for 10° ≤ 2θ ≤ 80°, in order of falling intensity:
d_spacing, 2theta, I/Imax, (hkl)
4.741, 18.72, 100, 0 0 2
3.091, 28.88, 45, 0 1 -2
2.904, 30.78, 38, 1 0 1
2.868, 31.19, 37, -1 1 1
3.626, 24.55, 27, 0 1 0
3.014, 29.64, 24, 1 0 -1
2.960, 30.20, 24, 1 -1 1
2.531, 35.47, 21, 1 0 2
2.510, 35.77, 21, -1 1 2
3.242, 27.51, 21, 0 1 1
2.707, 33.09, 20, 0 1 2
3.061, 29.18, 20, 1 -1 0

a = 3.4116 Å, b = 4.0037 Å, c = 9.5725 Å
α = 97.00°, β = 90.42°, γ = 113.90°
Space group P1 (No. 1)
Asymmetric unit:
Sb: 0.0000 0.0000 0.0000 x1
S: 0.7430 0.4988 0.1448 x1
N: 0.5034 0.0320 0.5156 x1
N: 0.6216 0.2589 0.6058 x1

=====

(4)
Starting from DFT lattice parameters and positions (GGA-PBE), the powder XRD pattern of SbS4N3 was simulated for Cu Kα (weighted mean of Kα1 and Kα2).
Kinematic intensities with the Lorentz-polarization factor, no thermal factor.

Top 12 peaks for 10° ≤ 2θ ≤ 80°, in order of falling intensity:
d_spacing, 2theta, I/Imax, (hkl)
5.319, 16.67, 100, 0 1 0
3.217, 27.73, 88, 0 1 -2
3.732, 23.84, 79, -1 1 1
6.238, 14.20, 58, 0 0 1
2.488, 36.10, 51, -2 1 1
4.531, 19.59, 49, 1 0 -1
3.122, 28.60, 32, 1 0 1
4.980, 17.81, 28, 0 1 -1
4.474, 19.84, 28, 1 0 0
2.908, 30.75, 24, 1 1 0
2.360, 38.13, 22, 0 1 2
2.823, 31.69, 20, 1 -2 0

a = 5.0658 Å, b = 5.9429 Å, c = 6.9170 Å
α = 103.30°, β = 106.21°, γ = 107.61°
Space group P1 (No. 1)
Asymmetric unit:
Sb: 0.0000 0.0000 0.0000 x1
S: 0.0126 0.6729 0.2530 x1
S: 0.2598 0.6847 0.7299 x1
S: 0.6051 0.5577 0.7847 x1
S: 0.6450 0.9993 0.4978 x1
N: 0.3216 0.8111 0.4775 x1
N: 0.3477 0.9078 0.9331 x1
N: 0.9010 0.0944 0.7128 x1